# 1
For PmPrH2, DFT lattice parameters and positions (PBE) gives the computed XRD peak list in this record (Cu Kα).
Lines closer than 0.1° are merged.

Most intense lines, 10 to 80 degrees two-theta, low angle first:
hkl 1 0 0, 28.0 deg, I = 6.7; hkl 1 0 1, 29.0 deg, I = 43.4; hkl 0 0 4, 30.3 deg, I = 33.5; hkl 1 0 2, 31.9 deg, I = 100.0; hkl 1 0 3, 36.3 deg, I = 25.4; hkl 1 0 5, 48.0 deg, I = 11.4; hkl 1 1 0, 49.5 deg, I = 26.7; hkl 1 0 6, 54.9 deg, I = 21.5; hkl 2 0 1, 58.5 deg, I = 6.1; hkl 1 1 4, 59.2 deg, I = 30.5; hkl 2 0 2, 60.2 deg, I = 16.3; hkl 2 0 6, 77.1 deg, I = 7.9

Structure:
```
data_PmPrH2
_chemical_formula_sum 'Pm2 Pr2 H4'
_symmetry_space_group_name_H-M 'P 63/m m c'
_symmetry_Int_Tables_number 194
_symmetry_space_group_name_Hall '-P 6c 2c'
_cell_length_a 3.6795
_cell_length_b 3.6795
_cell_length_c 11.7859
_cell_angle_alpha 90.00
_cell_angle_beta 90.00
_cell_angle_gamma 120.00
loop_
_atom_site_label
_atom_site_type_symbol
_atom_site_fract_x
_atom_site_fract_y
_atom_site_fract_z
_atom_site_occupancy
Pm1 Pm 0.3333 0.6667 0.2500 1
Pr1 Pr 0.0000 0.0000 0.0000 1
H1 H 0.3333 0.6667 0.6252 1
```


# 2
For Pm4PrH10, DFT lattice parameters and positions (PBE) gives the computed XRD peak list in this record (Cu Kα).
Lines closer than 0.1° are merged.

Most intense lines, 10 to 80 degrees two-theta, low angle first:
hkl 0 1 5, 28.4 deg, I = 100.0; hkl 1 0 10, 33.0 deg, I = 48.9; hkl 1 1 0, 47.3 deg, I = 38.3; hkl 2 0 5, 56.1 deg, I = 44.7; hkl 0 2 10, 58.8 deg, I = 12.6; hkl 2 0 20, 69.1 deg, I = 6.0; hkl 1 2 5, 76.4 deg, I = 17.9; hkl 2 1 10, 78.7 deg, I = 16.4

Structure:
```
data_Pm4PrH10
_chemical_formula_sum 'Pm12 Pr3 H30'
_symmetry_space_group_name_H-M 'R -3 m'
_symmetry_Int_Tables_number 166
_symmetry_space_group_name_Hall '-R 3 2"'
_cell_length_a 3.8434
_cell_length_b 3.8434
_cell_length_c 47.1056
_cell_angle_alpha 90.00
_cell_angle_beta 90.00
_cell_angle_gamma 120.00
loop_
_atom_site_label
_atom_site_type_symbol
_atom_site_fract_x
_atom_site_fract_y
_atom_site_fract_z
_atom_site_occupancy
Pm1 Pm 0.0000 0.0000 0.0993 1
Pm2 Pm 0.0000 0.0000 0.3002 1
Pr1 Pr 0.0000 0.0000 0.5000 1
H1 H 0.0000 0.0000 0.0495 1
H2 H 0.0000 0.0000 0.1489 1
H3 H 0.0000 0.0000 0.2504 1
H4 H 0.0000 0.0000 0.3500 1
H5 H 0.0000 0.0000 0.4490 1
```


# 3
For Pm4Pr2Sn3H2, DFT lattice parameters and positions (PBE) gives the computed XRD peak list in this record (Cu Kα).
Lines closer than 0.1° are merged.

Most intense lines, 10 to 80 degrees two-theta, low angle first:
hkl 1 1 2, 27.1 deg, I = 48.6; hkl 0 0 8, 27.7 deg, I = 14.8; hkl 1 1 4, 29.7 deg, I = 20.1; hkl 1 0 7, 30.6 deg, I = 19.8; hkl 1 1 6, 33.6 deg, I = 100.0; hkl 2 0 0, 37.4 deg, I = 53.7; hkl 2 0 8, 47.2 deg, I = 13.8; hkl 2 1 7, 49.0 deg, I = 10.7; hkl 2 0 10, 52.0 deg, I = 10.8; hkl 2 2 0, 53.9 deg, I = 18.8; hkl 2 0 12, 57.5 deg, I = 10.4; hkl 3 1 6, 65.0 deg, I = 31.1

Structure:
```
data_Pm4Pr2Sn3H2
_chemical_formula_sum 'Pm8 Pr4 Sn6 H4'
_symmetry_space_group_name_H-M 'I 4/m m m'
_symmetry_Int_Tables_number 139
_symmetry_space_group_name_Hall '-I 4 2'
_cell_length_a 4.810
_cell_length_b 4.810
_cell_length_c 25.782
_cell_angle_alpha 90.00
_cell_angle_beta 90.00
_cell_angle_gamma 90.00
loop_
_atom_site_label
_atom_site_type_symbol
_atom_site_fract_x
_atom_site_fract_y
_atom_site_fract_z
_atom_site_occupancy
Pm1 Pm 0.000 0.500 0.082 1
Pr1 Pr 0.000 0.000 0.200 1
Sn1 Sn 0.000 0.000 0.327 1
Sn2 Sn 0.000 0.000 0.500 1
H1 H 0.000 0.000 0.101 1
```


# 4
For Pm3HPt, DFT lattice parameters and positions (PBE) gives the computed XRD peak list in this record (Cu Kα).
Lines closer than 0.1° are merged.

Most intense lines, 10 to 80 degrees two-theta, low angle first:
hkl 1 0 0, 13.1 deg, I = 51.3; hkl 1 2 0, 29.2 deg, I = 28.6; hkl 0 1 3, 29.4 deg, I = 81.2; hkl 1 1 -3, 30.3 deg, I = 38.9; hkl 1 2 1, 31.2 deg, I = 100.0; hkl 2 1 -2, 31.9 deg, I = 35.9; hkl 2 0 2, 34.3 deg, I = 67.0; hkl 1 2 2, 35.4 deg, I = 33.8; hkl 3 1 -2, 43.0 deg, I = 24.9; hkl 1 3 -2, 44.6 deg, I = 44.8; hkl 1 3 4, 57.4 deg, I = 29.3; hkl 2 4 -5, 74.7 deg, I = 23.1

Structure:
```
data_Pm3HPt
_chemical_formula_sum 'Pm12 H4 Pt4'
_symmetry_space_group_name_H-M 'P 1 21/c 1'
_symmetry_Int_Tables_number 14
_symmetry_space_group_name_Hall '-P 2ybc'
_cell_length_a 6.880
_cell_length_b 6.856
_cell_length_c 10.317
_cell_angle_alpha 90.00
_cell_angle_beta 100.11
_cell_angle_gamma 90.00
loop_
_atom_site_label
_atom_site_type_symbol
_atom_site_fract_x
_atom_site_fract_y
_atom_site_fract_z
_atom_site_occupancy
Pm1 Pm 0.131 0.047 0.169 1
Pm2 Pm 0.247 0.582 0.042 1
Pm3 Pm 0.348 0.103 0.876 1
H1 H 0.049 0.204 0.959 1
Pt1 Pt 0.446 0.707 0.833 1
```


# 5
For Pm2HPt4, DFT lattice parameters and positions (PBE) gives the computed XRD peak list in this record (Cu Kα).
Lines closer than 0.1° are merged.

Most intense lines, 10 to 80 degrees two-theta, low angle first:
hkl 0 0 2, 11.8 deg, I = 19.3; hkl 1 1 0, 30.6 deg, I = 9.9; hkl 1 1 2, 32.9 deg, I = 60.9; hkl 0 0 6, 36.0 deg, I = 25.8; hkl 1 1 4, 39.1 deg, I = 100.0; hkl 2 0 0, 43.8 deg, I = 48.3; hkl 2 0 6, 57.9 deg, I = 26.5; hkl 2 2 0, 63.6 deg, I = 16.0; hkl 1 1 10, 70.7 deg, I = 15.1; hkl 3 1 2, 73.5 deg, I = 12.3; hkl 2 2 6, 75.3 deg, I = 12.3; hkl 3 1 4, 77.2 deg, I = 28.0

Structure:
```
data_Pm2HPt4
_chemical_formula_sum 'Pm4 H2 Pt8'
_symmetry_space_group_name_H-M 'I 4/m m m'
_symmetry_Int_Tables_number 139
_symmetry_space_group_name_Hall '-I 4 2'
_cell_length_a 4.138
_cell_length_b 4.138
_cell_length_c 14.978
_cell_angle_alpha 90.00
_cell_angle_beta 90.00
_cell_angle_gamma 90.00
loop_
_atom_site_label
_atom_site_type_symbol
_atom_site_fract_x
_atom_site_fract_y
_atom_site_fract_z
_atom_site_occupancy
Pm1 Pm 0.000 0.000 0.162 1
H1 H 0.000 0.000 0.500 1
Pt1 Pt 0.000 0.000 0.363 1
Pt2 Pt 0.000 0.500 0.000 1
```


# 6
For PmHPt3, DFT lattice parameters and positions (PBE) gives the computed XRD peak list in this record (Cu Kα).
Lines closer than 0.1° are merged.

Most intense lines, 10 to 80 degrees two-theta, low angle first:
hkl 1 0 1, 20.9 deg, I = 1.9; hkl 0 1 2, 29.7 deg, I = 1.3; hkl 0 0 3, 36.6 deg, I = 100.0; hkl 2 0 2, 42.5 deg, I = 49.4; hkl 2 1 1, 47.8 deg, I = 1.3; hkl 3 0 0, 52.7 deg, I = 1.7; hkl 0 2 4, 61.6 deg, I = 32.8; hkl 0 3 3, 65.8 deg, I = 0.9; hkl 2 0 5, 73.8 deg, I = 29.0; hkl 4 0 1, 73.9 deg, I = 9.4; hkl 0 0 6, 77.6 deg, I = 2.9; hkl 0 4 2, 77.8 deg, I = 8.2

Structure:
```
data_PmHPt3
_chemical_formula_sum 'Pm3 H3 Pt9'
_symmetry_space_group_name_H-M 'R 3 m'
_symmetry_Int_Tables_number 160
_symmetry_space_group_name_Hall 'R 3 -2"'
_cell_length_a 6.0146
_cell_length_b 6.0146
_cell_length_c 7.3795
_cell_angle_alpha 90.00
_cell_angle_beta 90.00
_cell_angle_gamma 120.00
loop_
_atom_site_label
_atom_site_type_symbol
_atom_site_fract_x
_atom_site_fract_y
_atom_site_fract_z
_atom_site_occupancy
Pm1 Pm 0.0000 0.0000 0.0000 1
H1 H 0.0000 0.0000 0.3385 1
Pt1 Pt 0.1745 0.3490 0.3309 1
```